# Tm7SnHg4
Calculated powder diffraction line list, Cu Kα. Input: the GGA-PBE geometry in Alexandria.
No peak broadening, texture or thermal motion is included.

Top 8 peaks for 5° ≤ 2θ ≤ 70°, low angle first:
2.871 Å, 2θ 31.15, rel. 50; 2.839 Å, 2θ 31.51, rel. 52; 2.808 Å, 2θ 31.87, rel. 100; 2.742 Å, 2θ 32.66, rel. 73; 2.649 Å, 2θ 33.84, rel. 73; 2.584 Å, 2θ 34.72, rel. 28; 2.428 Å, 2θ 37.03, rel. 34; 1.962 Å, 2θ 46.29, rel. 59

Cell and atoms:
```
12
Lattice="7.5666 -2.8082 0.0000 7.5666 2.8082 0.0000 -3.9793 0.0000 7.7508" Properties=species:S:1:pos:R:3 pbc="T T T"
Tm 0.0000 0.0000 0.0000
Tm 0.6114 0.0000 5.0971
Tm 4.5934 0.0000 0.8934
Tm 4.0477 0.0000 4.6811
Tm 7.1062 0.0000 3.0697
Tm 6.5605 0.0000 6.8574
Tm 10.5424 0.0000 2.6536
Sn 7.5666 0.0000 0.0000
Hg -2.2864 0.0000 5.3391
Hg 1.8671 0.0000 2.3316
Hg 9.2868 0.0000 5.4192
Hg 13.4403 0.0000 2.4116
```

---

# CeDy3Tl3Se8
Calculated powder diffraction line list, Cu Kα. Input: the GGA-PBE geometry in Alexandria.
No peak broadening, texture or thermal motion is included.

Top 8 peaks for 5° ≤ 2θ ≤ 70°, low angle first:
3.900 Å, 2θ 22.80, rel. 9; 3.458 Å, 2θ 25.76, rel. 14; 3.078 Å, 2θ 29.01, rel. 100; 2.275 Å, 2θ 39.62, rel. 37; 2.090 Å, 2θ 43.29, rel. 36; 1.729 Å, 2θ 52.96, rel. 19; 1.539 Å, 2θ 60.12, rel. 11; 1.426 Å, 2θ 65.47, rel. 13

Cell and atoms:
```
15
Lattice="4.1798 2.4132 7.7994 -4.1798 2.4132 7.7994 0.0000 -4.8264 7.7994" Properties=species:S:1:pos:R:3 pbc="T T T"
Ce 0.0000 0.0000 0.0000
Dy -2.0899 -1.2066 7.7994
Dy -2.0899 1.2066 15.5987
Dy 0.0000 2.4132 7.7994
Tl -4.1798 0.0000 11.6990
Tl -2.0899 1.2066 3.8997
Tl 2.0899 1.2066 3.8997
Se 0.0000 -2.4157 9.3747
Se -2.0921 1.2079 9.3747
Se 0.0000 0.0000 6.2107
Se -2.0921 -1.2079 14.0234
Se 2.0921 1.2079 9.3747
Se 0.0000 0.0000 17.1875
Se 2.0921 -1.2079 14.0234
Se 0.0000 2.4157 14.0234
```

---

# CoPbS
Calculated powder diffraction line list, Cu Kα. Input: the GGA-PBE geometry in Alexandria.
No peak broadening, texture or thermal motion is included.

Top 8 peaks for 5° ≤ 2θ ≤ 70°, low angle first:
4.245 Å, 2θ 20.93, rel. 24; 3.466 Å, 2θ 25.70, rel. 24; 2.685 Å, 2θ 33.38, rel. 100; 2.451 Å, 2θ 36.67, rel. 57; 1.898 Å, 2θ 47.92, rel. 17; 1.810 Å, 2θ 50.42, rel. 18; 1.665 Å, 2θ 55.17, rel. 12; 1.604 Å, 2θ 57.44, rel. 34

Cell and atoms:
```
12
Lattice="6.0030 0.0000 0.0000 0.0000 6.0030 0.0000 0.0000 0.0000 6.0030" Properties=species:S:1:pos:R:3 pbc="T T T"
Co 0.3369 0.3369 0.3369
Co 2.6646 5.6661 3.3384
Co 3.3384 2.6646 5.6661
Co 5.6661 3.3384 2.6646
Pb 0.8874 3.8889 5.1157
Pb 2.1141 2.1141 2.1141
Pb 3.8889 5.1157 0.8874
Pb 5.1157 0.8874 3.8889
S 0.8069 5.1961 2.1946
S 2.1946 0.8069 5.1961
S 3.8084 3.8084 3.8084
S 5.1961 2.1946 0.8069
```